Diffraction record for Sc12Co6Te. The X-ray powder pattern is simulated, not measured: it uses the PBE geometry in Alexandria and Cu Kα (λ = 1.5418 Å).
Kinematic intensities with the Lorentz-polarization factor, no thermal factor.

Main lines, low angle first (2θ from 15° to 90°):
two_theta	I/Imax	(hkl)
19.68	34.0	2 0 0
24.17	12.0	2 1 1
34.44	39.1	2 2 2
37.30	100.0	3 2 1
39.98	22.4	4 0 0
42.52	14.8	4 1 1
51.67	40.9	4 1 3
59.78	13.1	5 0 3
63.58	18.6	5 3 2
74.36	16.3	5 4 3

Cell and atoms:
```
data_Sc12Co6Te
_chemical_formula_sum 'Sc24 Co12 Te2'
_cell_length_a 9.020
_cell_length_b 9.020
_cell_length_c 9.020
_cell_angle_alpha 90.00
_cell_angle_beta 90.00
_cell_angle_gamma 90.00
_symmetry_space_group_name_H-M 'I m -3'
_symmetry_Int_Tables_number 204
_symmetry_space_group_name_Hall '-I 2 2 3'
loop_
_atom_site_label
_atom_site_type_symbol
_atom_site_fract_x
_atom_site_fract_y
_atom_site_fract_z
Sc1 Sc 0.000 0.202 0.300
Co1 Co 0.000 0.380 0.500
Te1 Te 0.000 0.000 0.000
```


Diffraction record for RbHg2TePd. The X-ray powder pattern is simulated, not measured: it uses the PBE geometry in Alexandria and Cu Kα (λ = 1.5418 Å).
Kinematic intensities with the Lorentz-polarization factor, no thermal factor.

Main lines, low angle first (2θ from 15° to 90°):
two_theta	I/Imax	(hkl)
16.00	32.9	0 0 1
28.45	100.0	1 1 1
32.32	37.0	0 0 2
33.29	68.5	2 0 0
37.14	17.8	2 0 1
47.08	52.2	2 0 2
47.79	25.0	2 2 0
56.56	29.9	3 1 1
58.87	26.8	2 2 2
88.59	18.1	4 2 2

Cell and atoms:
```
data_RbHg2TePd
_chemical_formula_sum 'Rb1 Hg2 Te1 Pd1'
_cell_length_a 5.383
_cell_length_b 5.383
_cell_length_c 5.540
_cell_angle_alpha 90.00
_cell_angle_beta 90.00
_cell_angle_gamma 90.00
_symmetry_space_group_name_H-M 'P 4/m m m'
_symmetry_Int_Tables_number 123
_symmetry_space_group_name_Hall '-P 4 2'
loop_
_atom_site_label
_atom_site_type_symbol
_atom_site_fract_x
_atom_site_fract_y
_atom_site_fract_z
Rb1 Rb 0.000 0.000 0.000
Hg1 Hg 0.000 0.500 0.500
Te1 Te 0.500 0.500 0.000
Pd1 Pd 0.500 0.500 0.500
```


Diffraction record for HgGe2F6. The X-ray powder pattern is simulated, not measured: it uses the PBE geometry in Alexandria and Cu Kα (λ = 1.5418 Å).
Kinematic intensities with the Lorentz-polarization factor, no thermal factor.

Main lines, low angle first (2θ from 15° to 90°):
two_theta	I/Imax	(hkl)
16.79	59.1	1 1 -1
22.42	87.0	1 1 1
25.77	100.0	2 2 -1
28.37	43.7	1 3 -1
29.57	35.6	1 1 -2
30.95	51.4	3 1 0
32.12	38.4	1 3 1
32.32	39.9	0 4 0
40.81	43.7	4 0 -2
51.32	47.6	4 2 1

Cell and atoms:
```
data_HgGe2F6
_chemical_formula_sum 'Hg4 Ge8 F24'
_cell_length_a 9.642
_cell_length_b 11.079
_cell_length_c 6.285
_cell_angle_alpha 90.00
_cell_angle_beta 111.38
_cell_angle_gamma 90.00
_symmetry_space_group_name_H-M 'C 1 2/c 1'
_symmetry_Int_Tables_number 15
loop_
_symmetry_equiv_pos_as_xyz
'x,y,z'
'-x,-y,-z'
'-x,y,-z+1/2'
'x,-y,z+1/2'
'x+1/2,y+1/2,z'
'-x+1/2,-y+1/2,-z'
'-x+1/2,y+1/2,-z+1/2'
'x+1/2,-y+1/2,z+1/2'
loop_
_atom_site_label
_atom_site_type_symbol
_atom_site_fract_x
_atom_site_fract_y
_atom_site_fract_z
Hg1 Hg 0.000 0.097 0.250
Ge1 Ge 0.157 0.380 0.152
F1 F 0.127 0.358 0.427
F2 F 0.128 0.076 0.648
F3 F 0.162 0.207 0.126
```